Diffraction record for Li4Fe7O12. The XRD peak list is theoretical, not measured: it uses the PBE+U geometry in Alexandria and Cu Kα (weighted mean of Kα1 and Kα2).

Crystal structure
```
46
Lattice="5.195 0.000 0.000 0.000 9.015 0.000 -1.805 0.000 9.679" Properties=species:S:1:pos:R:3 pbc="T T T"
Li -0.435 0.000 2.350
Li -1.309 7.547 7.360
Li -0.452 9.004 9.646
Li 2.121 7.508 2.351
Li 1.268 3.000 7.327
Li 3.841 4.496 0.033
Li 4.698 3.039 2.319
Li 3.824 4.508 7.328
Fe -1.297 1.424 7.334
Fe 0.364 7.524 4.868
Fe 1.283 3.065 0.049
Fe 0.416 1.447 4.920
Fe 0.447 4.434 4.812
Fe 1.345 5.984 0.077
Fe 2.118 1.505 2.360
Fe 1.271 6.013 7.319
Fe 2.044 1.476 9.601
Fe 2.942 8.942 4.867
Fe 2.973 5.955 4.758
Fe 2.106 7.572 9.630
Fe 3.025 3.017 4.811
Fe 4.686 5.932 2.344
O -0.619 8.961 6.004
O 0.354 4.569 1.104
O -0.539 3.002 6.022
O 0.363 7.375 1.189
O 0.473 1.600 1.242
O -0.366 5.968 6.007
O 1.110 6.028 3.695
O 0.311 1.652 8.503
O 0.329 4.574 8.538
O 0.404 7.342 8.537
O 1.326 8.980 3.648
O 1.341 2.930 3.733
O 2.048 7.438 5.945
O 2.063 4.472 6.031
O 2.985 2.835 1.141
O 3.060 0.066 1.141
O 3.078 6.160 1.176
O 2.280 1.520 5.984
O 3.756 1.460 3.672
O 2.917 6.108 8.436
O 3.026 2.867 8.489
O 3.928 7.509 3.657
O 3.035 0.062 8.574
O 4.009 4.453 3.675
```

The 10 most intense peaks (5° ≤ 2θ ≤ 70°), by intensity:
h k l  two_theta  I_rel
1 3 -3  42.69  1000
2 0 2  42.98  484
0 0 2  18.33  405
1 1 1  23.32  350
3 3 -1  61.84  274
1 3 5  62.52  265
1 3 1  36.75  234
0 2 0  19.69  218
1 1 -1  20.62  188
1 1 -3  31.56  137